The following is a calculated powder X-ray diffraction pattern of La5CeDy. It was derived from DFT lattice parameters and positions (GGA-PBE), using Cu Kα.

Main lines, by intensity (15° ≤ 2θ ≤ 90°):
| d (Å) | I/Imax | hkl |
| --- | --- | --- |
| 2.911 | 100 | 0 2 2 |
| 2.791 | 41 | 2 2 0 |
| 2.823 | 38 | 2 2 -1 |
| 2.809 | 31 | 2 0 -2 |
| 2.963 | 29 | 1 3 -1 |
| 2.717 | 25 | 2 0 1 |
| 2.615 | 22 | 0 4 0 |
| 3.083 | 21 | 1 3 0 |
| 3.950 | 15 | 1 1 1 |
| 1.676 | 14 | 4 0 -2 |

abc: 6.8513 10.4618 7.2774
angles: 90.00 105.61 90.00
Space group C2/m (No. 12)
Inequivalent atoms, fractional coordinates:
La 0.0000 0.0000 0.0000 [2 per cell]
La 0.1550 0.2937 0.2339 [8 per cell]
Ce 0.0000 0.5000 0.5000 [2 per cell]
Dy 0.0000 0.0000 0.5000 [2 per cell]